Entry 1:
Diffraction record for Ta4AlCuN2. The powder diffraction line list is calculated, not measured: it uses a GGA-PBE-relaxed structure and λ = 1.5418 Å (Cu Kα).
No peak broadening, texture or thermal motion is included.

Crystal structure
a = 2.9670 Å, b = 2.9670 Å, c = 14.3946 Å
α = 90.00°, β = 90.00°, γ = 120.00°
Fractional coordinates of all 8 atoms:
Ta 0.0000 0.0000 0.1522
Ta 0.0000 0.0000 0.8478
Ta 0.6667 0.3333 0.3432
Ta 0.6667 0.3333 0.6568
Al 0.0000 0.0000 0.5000
Cu 0.6667 0.3333 0.0000
N 0.3333 0.6667 0.2478
N 0.3333 0.6667 0.7522

Largest 10 diffraction maxima, by angle, 2θ = 5–70°:
d_spacing	I_rel
7.197	22
3.599	19
2.570	22
2.530	21
2.399	21
2.265	100
1.754	15
1.606	16
1.484	19
1.358	13

Entry 2:
Diffraction record for TaInPO. The powder diffraction line list is calculated, not measured: it uses a GGA-PBE-relaxed structure and λ = 1.5418 Å (Cu Kα).
No peak broadening, texture or thermal motion is included.

Crystal structure
a = 4.1267 Å, b = 4.1267 Å, c = 7.9439 Å
α = 90.00°, β = 90.00°, γ = 90.00°
Fractional coordinates of all 8 atoms:
Ta 0.2500 0.7500 0.0000
Ta 0.7500 0.2500 0.0000
In 0.2500 0.2500 0.3749
In 0.7500 0.7500 0.6251
P 0.2500 0.2500 0.8095
P 0.7500 0.7500 0.1905
O 0.2500 0.7500 0.5000
O 0.7500 0.2500 0.5000

Largest 10 diffraction maxima, by angle, 2θ = 5–70°:
d_spacing	I_rel
7.944	44
3.972	35
2.862	40
2.739	100
2.648	20
2.352	57
2.063	47
1.831	17
1.642	37
1.628	19

Entry 3:
Diffraction record for PmTaNO. The powder diffraction line list is calculated, not measured: it uses a GGA-PBE-relaxed structure and λ = 1.5418 Å (Cu Kα).
No peak broadening, texture or thermal motion is included.

Crystal structure
a = 4.1186 Å, b = 4.1186 Å, c = 8.1193 Å
α = 90.00°, β = 90.00°, γ = 90.00°
Fractional coordinates of all 8 atoms:
Pm 0.2500 0.2500 0.1344
Pm 0.7500 0.7500 0.8656
Ta 0.2500 0.7500 0.5000
Ta 0.7500 0.2500 0.5000
N 0.2500 0.2500 0.4514
N 0.7500 0.7500 0.5486
O 0.2500 0.7500 0.0000
O 0.7500 0.2500 0.0000

Largest 10 diffraction maxima, by angle, 2θ = 5–70°:
d_spacing	I_rel
8.119	31
4.060	42
3.673	47
2.891	36
2.741	100
2.706	34
2.366	45
2.059	46
1.665	42
1.639	31

Entry 4:
Diffraction record for NbNi2TeSe2. The powder diffraction line list is calculated, not measured: it uses a GGA-PBE-relaxed structure and λ = 1.5418 Å (Cu Kα).
No peak broadening, texture or thermal motion is included.

Crystal structure
a = 7.2903 Å, b = 3.6944 Å, c = 10.1325 Å
α = 90.00°, β = 108.28°, γ = 90.00°
Fractional coordinates of all 12 atoms:
Nb 0.2161 0.2500 0.2093
Nb 0.7839 0.7500 0.7907
Ni 0.0471 0.2500 0.9337
Ni 0.4129 0.7500 0.4119
Ni 0.5871 0.2500 0.5881
Ni 0.9529 0.7500 0.0663
Te 0.2928 0.7500 0.0059
Te 0.7072 0.2500 0.9941
Se 0.0608 0.7500 0.3194
Se 0.4292 0.7500 0.6528
Se 0.5708 0.2500 0.3472
Se 0.9392 0.2500 0.6806

Largest 10 diffraction maxima, by angle, 2θ = 5–70°:
d_spacing	I_rel
9.621	30
6.704	100
3.207	26
2.973	23
2.905	32
2.527	29
2.478	33
2.134	19
2.026	34
1.847	24

Entry 5:
Diffraction record for Na2ThCl6. The powder diffraction line list is calculated, not measured: it uses a GGA-PBE-relaxed structure and λ = 1.5418 Å (Cu Kα).
No peak broadening, texture or thermal motion is included.

Crystal structure
a = 6.5453 Å, b = 6.5453 Å, c = 12.5450 Å
α = 90.00°, β = 90.00°, γ = 90.00°
Fractional coordinates of all 18 atoms:
Na 0.0000 0.0000 0.1652
Na 0.0000 0.0000 0.8348
Na 0.5000 0.5000 0.3348
Na 0.5000 0.5000 0.6652
Th 0.0000 0.0000 0.5000
Th 0.5000 0.5000 0.0000
Cl 0.1956 0.1956 0.3410
Cl 0.1956 0.1956 0.6590
Cl 0.2085 0.2085 0.0000
Cl 0.2915 0.7085 0.5000
Cl 0.3044 0.6956 0.1590
Cl 0.3044 0.6956 0.8410
Cl 0.6956 0.3044 0.1590
Cl 0.6956 0.3044 0.8410
Cl 0.7085 0.2915 0.5000
Cl 0.7915 0.7915 0.0000
Cl 0.8044 0.8044 0.3410
Cl 0.8044 0.8044 0.6590

Largest 10 diffraction maxima, by angle, 2θ = 5–70°:
d_spacing	I_rel
6.272	32
5.803	100
4.628	63
3.724	33
3.524	31
3.103	22
2.851	32
2.398	57
1.934	27
1.905	23

Entry 6:
Diffraction record for Er2LuAl7Ag2. The powder diffraction line list is calculated, not measured: it uses a GGA-PBE-relaxed structure and λ = 1.5418 Å (Cu Kα).
No peak broadening, texture or thermal motion is included.

Crystal structure
a = 9.2884 Å, b = 9.2884 Å, c = 9.2884 Å
α = 34.50°, β = 34.50°, γ = 34.50°
Fractional coordinates of all 12 atoms:
Er 0.1425 0.1425 0.1425
Er 0.8575 0.8575 0.8575
Lu 0.0000 0.0000 0.0000
Al 0.0761 0.5882 0.5882
Al 0.4118 0.4118 0.9239
Al 0.4118 0.9239 0.4118
Al 0.5000 0.5000 0.5000
Al 0.5882 0.0761 0.5882
Al 0.5882 0.5882 0.0761
Al 0.9239 0.4118 0.4118
Ag 0.3357 0.3357 0.3357
Ag 0.6643 0.6643 0.6643

Largest 10 diffraction maxima, by angle, 2θ = 5–70°:
d_spacing	I_rel
4.694	23
4.363	39
2.943	31
2.755	85
2.699	20
2.376	16
2.329	100
1.494	24
1.474	17
1.377	17

Entry 7:
Diffraction record for GdYSi2Pt4. The powder diffraction line list is calculated, not measured: it uses a GGA-PBE-relaxed structure and λ = 1.5418 Å (Cu Kα).
No peak broadening, texture or thermal motion is included.

Crystal structure
a = 7.1017 Å, b = 3.9091 Å, c = 10.2107 Å
α = 90.00°, β = 90.00°, γ = 90.00°
Fractional coordinates of all 16 atoms:
Gd 0.0000 0.0000 0.0000
Gd 0.0000 0.5000 0.5000
Y 0.5000 0.0000 0.1061
Y 0.5000 0.5000 0.6061
Si 0.0000 0.0000 0.2830
Si 0.0000 0.5000 0.7830
Si 0.5000 0.0000 0.8234
Si 0.5000 0.5000 0.3234
Pt 0.2000 0.0000 0.6977
Pt 0.2000 0.5000 0.1977
Pt 0.3007 0.0000 0.4087
Pt 0.3007 0.5000 0.9087
Pt 0.6993 0.0000 0.4087
Pt 0.6993 0.5000 0.9087
Pt 0.8000 0.0000 0.6977
Pt 0.8000 0.5000 0.1977

Largest 10 diffraction maxima, by angle, 2θ = 5–70°:
d_spacing	I_rel
2.567	88
2.545	100
2.414	29
2.148	44
2.080	31
2.073	31
1.986	28
1.955	34
1.438	30
1.367	25

Entry 8:
Diffraction record for CsK3Cu2P2. The powder diffraction line list is calculated, not measured: it uses a GGA-PBE-relaxed structure and λ = 1.5418 Å (Cu Kα).
No peak broadening, texture or thermal motion is included.

Crystal structure
a = 6.2482 Å, b = 5.8698 Å, c = 6.3902 Å
α = 90.00°, β = 107.41°, γ = 90.00°
Fractional coordinates of all 8 atoms:
Cs 0.0000 0.0000 0.0000
K 0.2850 0.5000 0.3040
K 0.6543 0.0000 0.3337
K 0.9418 0.5000 0.6304
Cu 0.4631 0.2516 0.8149
Cu 0.4631 0.7484 0.8149
P 0.2531 0.0000 0.5737
P 0.6830 0.5000 0.0510

Largest 10 diffraction maxima, by angle, 2θ = 5–70°:
d_spacing	I_rel
6.097	76
3.154	100
3.119	55
3.064	77
2.754	76
2.716	60
2.633	59
2.543	47
2.309	44
1.698	36

Entry 9:
Diffraction record for Hf3AlB4. The powder diffraction line list is calculated, not measured: it uses a GGA-PBE-relaxed structure and λ = 1.5418 Å (Cu Kα).
No peak broadening, texture or thermal motion is included.

Crystal structure
a = 3.1557 Å, b = 3.5316 Å, c = 8.5913 Å
α = 90.00°, β = 90.00°, γ = 90.00°
Fractional coordinates of all 8 atoms:
Hf 0.0000 0.0000 0.0000
Hf 0.5000 0.0000 0.3093
Hf 0.5000 0.0000 0.6907
Al 0.0000 0.5000 0.5000
B 0.0000 0.5000 0.2133
B 0.0000 0.5000 0.7867
B 0.5000 0.5000 0.1086
B 0.5000 0.5000 0.8914

Largest 10 diffraction maxima, by angle, 2θ = 5–70°:
d_spacing	I_rel
3.532	100
2.962	43
2.864	54
2.543	78
2.270	66
2.224	78
2.064	78
1.766	23
1.450	28
1.388	32

Entry 10:
Diffraction record for Cu2Ge2Pb3. The powder diffraction line list is calculated, not measured: it uses a GGA-PBE-relaxed structure and λ = 1.5418 Å (Cu Kα).
No peak broadening, texture or thermal motion is included.

Crystal structure
a = 8.7425 Å, b = 8.7425 Å, c = 8.7425 Å
α = 32.44°, β = 32.44°, γ = 32.44°
Fractional coordinates of all 7 atoms:
Cu 0.0000 0.0000 0.0000
Cu 0.4913 0.4913 0.4913
Ge 0.2333 0.2333 0.2333
Ge 0.7391 0.7391 0.7391
Pb 0.3732 0.3732 0.3732
Pb 0.6168 0.6168 0.6168
Pb 0.8544 0.8544 0.8544

Largest 10 diffraction maxima, by angle, 2θ = 5–70°:
d_spacing	I_rel
4.169	24
4.003	15
3.495	30
3.220	30
2.502	93
2.442	100
1.828	15
1.748	32
1.421	32
1.410	18

Entry 11:
Diffraction record for OsSeS3Cl4. The powder diffraction line list is calculated, not measured: it uses a GGA-PBE-relaxed structure and λ = 1.5418 Å (Cu Kα).
No peak broadening, texture or thermal motion is included.

Crystal structure
a = 9.2261 Å, b = 8.8611 Å, c = 11.7425 Å
α = 90.00°, β = 105.66°, γ = 90.00°
Fractional coordinates of all 36 atoms:
Os 0.0475 0.0000 0.2212
Os 0.3182 0.1392 0.2901
Os 0.6818 0.6392 0.7099
Os 0.9525 0.5000 0.7788
Se 0.0098 0.4249 0.1246
Se 0.4847 0.5016 0.7870
Se 0.5153 0.0016 0.2130
Se 0.9902 0.9249 0.8754
S 0.0522 0.6688 0.6790
S 0.1420 0.1721 0.1189
S 0.1615 0.8373 0.7868
S 0.1653 0.5051 0.2986
S 0.2233 0.3128 0.3932
S 0.2419 0.9397 0.3810
S 0.7581 0.4397 0.6190
S 0.7767 0.8128 0.6068
S 0.8347 0.0051 0.7014
S 0.8385 0.3373 0.2132
S 0.8580 0.6721 0.8811
S 0.9478 0.1688 0.3210
Cl 0.0861 0.3064 0.7048
Cl 0.1320 0.7956 0.1145
Cl 0.1754 0.4994 0.9437
Cl 0.1981 0.0011 0.5406
Cl 0.4272 0.9918 0.0182
Cl 0.4449 0.6116 0.5548
Cl 0.4644 0.3223 0.2157
Cl 0.4868 0.2603 0.7442
Cl 0.5132 0.7603 0.2558
Cl 0.5356 0.8223 0.7843
Cl 0.5551 0.1116 0.4452
Cl 0.5728 0.4918 0.9818
Cl 0.8019 0.5011 0.4594
Cl 0.8246 0.9994 0.0563
Cl 0.8680 0.2956 0.8855
Cl 0.9139 0.8064 0.2952

Largest 10 diffraction maxima, by angle, 2θ = 5–70°:
d_spacing	I_rel
8.883	12
8.133	53
6.974	100
6.274	24
5.653	41
4.435	13
3.183	12
2.994	12
2.675	11
2.216	11

Entry 12:
Diffraction record for Al2Ni3. The powder diffraction line list is calculated, not measured: it uses a GGA-PBE-relaxed structure and λ = 1.5418 Å (Cu Kα).
No peak broadening, texture or thermal motion is included.

Crystal structure
a = 8.7285 Å, b = 8.7285 Å, c = 4.7045 Å
α = 90.00°, β = 90.00°, γ = 90.00°
Fractional coordinates of all 30 atoms:
Al 0.0555 0.2740 0.0000
Al 0.1042 0.1042 0.5000
Al 0.2260 0.5555 0.5000
Al 0.2740 0.0555 0.0000
Al 0.3958 0.6042 0.0000
Al 0.4445 0.7740 0.5000
Al 0.5555 0.2260 0.5000
Al 0.6042 0.3958 0.0000
Al 0.7260 0.9445 0.0000
Al 0.7740 0.4445 0.5000
Al 0.8958 0.8958 0.5000
Al 0.9445 0.7260 0.0000
Ni 0.0000 0.0000 0.0000
Ni 0.0355 0.3618 0.5000
Ni 0.1382 0.5355 0.0000
Ni 0.1865 0.8135 0.2515
Ni 0.1865 0.8135 0.7485
Ni 0.3135 0.3135 0.2485
Ni 0.3135 0.3135 0.7515
Ni 0.3618 0.0355 0.5000
Ni 0.4645 0.8618 0.0000
Ni 0.5000 0.5000 0.5000
Ni 0.5355 0.1382 0.0000
Ni 0.6382 0.9645 0.5000
Ni 0.6865 0.6865 0.2485
Ni 0.6865 0.6865 0.7515
Ni 0.8135 0.1865 0.2515
Ni 0.8135 0.1865 0.7485
Ni 0.8618 0.4645 0.0000
Ni 0.9645 0.6382 0.5000

Largest 10 diffraction maxima, by angle, 2θ = 5–70°:
d_spacing	I_rel
3.904	30
3.004	31
2.117	100
2.071	68
2.057	69
2.015	63
1.931	90
1.885	19
1.871	13
1.790	29